[1]
This entry pairs a crystal structure of Tb3Tm3Th with its computed X-ray diffraction stick pattern. Radiation: Cu Kα X-rays. Structure: DFT lattice parameters and positions (PBE).

Largest 12 diffraction maxima, by intensity, 2θ from 10° to 90°:
2θ 32.86, rel. 100
2θ 31.70, rel. 24
2θ 28.68, rel. 24
2θ 61.13, rel. 22
2θ 57.20, rel. 21
2θ 50.80, rel. 19
2θ 61.84, rel. 16
2θ 43.27, rel. 16
2θ 84.03, rel. 14
2θ 87.98, rel. 9
2θ 80.00, rel. 8
2θ 68.89, rel. 4

Structure:
```
Tb3Tm3Th
1.0
9.5095 0.0000 0.0000
-4.7547 8.2355 0.0000
0.0000 0.0000 5.6455
Tb Tm Th
6 6 2
Direct
0.0544 0.2431 0.2500 Tb
0.1886 0.9456 0.2500 Tb
0.2431 0.1886 0.7500 Tb
0.7569 0.8114 0.2500 Tb
0.8114 0.0544 0.7500 Tb
0.9456 0.7569 0.7500 Tb
0.0952 0.4798 0.7500 Tm
0.3846 0.9048 0.7500 Tm
0.4798 0.3846 0.2500 Tm
0.5202 0.6154 0.7500 Tm
0.6154 0.0952 0.2500 Tm
0.9048 0.5202 0.2500 Tm
0.3333 0.6667 0.2500 Th
0.6667 0.3333 0.7500 Th
```

=====

[2]
This entry pairs a crystal structure of Tb12Tm2Th with its computed X-ray diffraction stick pattern. Radiation: Cu Kα X-rays. Structure: DFT lattice parameters and positions (PBE).

Largest 12 diffraction maxima, by intensity, 2θ from 10° to 90°:
2θ 30.33, rel. 100
2θ 32.15, rel. 64
2θ 32.55, rel. 52
2θ 31.25, rel. 49
2θ 33.59, rel. 38
2θ 32.32, rel. 37
2θ 46.24, rel. 28
2θ 61.96, rel. 20
2θ 60.89, rel. 20
2θ 56.19, rel. 18
2θ 59.93, rel. 18
2θ 51.43, rel. 17

Structure:
```
Tb12Tm2Th
1.0
3.5532 -5.5677 0.0000
3.5532 5.5677 0.0000
-1.7654 0.0000 24.3191
Tb Tm Th
24 4 2
Direct
0.0476 0.5538 0.2020 Tb
0.0839 0.5826 0.3293 Tb
0.1348 0.6394 0.5556 Tb
0.1441 0.1441 0.5752 Tb
0.2155 0.2155 0.8638 Tb
0.2322 0.7319 0.9278 Tb
0.2681 0.7678 0.0722 Tb
0.2850 0.2850 0.1391 Tb
0.3602 0.3602 0.4233 Tb
0.3606 0.8652 0.4444 Tb
0.4174 0.9161 0.6707 Tb
0.4462 0.9524 0.7980 Tb
0.5538 0.0476 0.2020 Tb
0.5826 0.0839 0.3293 Tb
0.6394 0.1348 0.5556 Tb
0.6398 0.6398 0.5767 Tb
0.7150 0.7150 0.8609 Tb
0.7319 0.2322 0.9278 Tb
0.7678 0.2681 0.0722 Tb
0.7845 0.7845 0.1362 Tb
0.8559 0.8559 0.4248 Tb
0.8652 0.3606 0.4444 Tb
0.9161 0.4174 0.6707 Tb
0.9524 0.4462 0.7980 Tb
0.0681 0.0681 0.2716 Tm
0.4313 0.4313 0.7287 Tm
0.5687 0.5687 0.2713 Tm
0.9319 0.9319 0.7284 Tm
0.2496 0.2496 0.0008 Th
0.7504 0.7504 0.9992 Th
```